This entry pairs a crystal structure of Nd4MgTa4Ti4O24 with its simulated X-ray diffraction stick pattern. Radiation: Cu Kα, 1.54184 Å. Structure: a PBE-relaxed structure.
Intensities are scaled so that the largest is 100.

Principal peaks in the range 10 to 90 degrees two-theta, by angle:
(hkl)  two_theta  d [Å]  I_rel
0 1 2  19.56  4.538  66
1 1 -1  21.75  4.086  38
0 2 2  28.27  3.157  23
1 0 -3  28.86  3.094  36
1 0 3  29.13  3.066  36
1 -2 1  29.85  2.993  100
1 2 1  30.00  2.979  34
2 0 0  33.55  2.671  29
0 3 2  38.97  2.311  17
0 4 0  47.79  1.903  25

Crystal structure
Unit cell a=5.343 b=7.613 c=11.308 alpha=90.20 beta=90.56 gamma=90.19
Space group P1 (No. 1)
Asymmetric unit:
Nd1 0.000 0.000 0.000
Nd2 0.089 0.501 0.100
Nd3 0.488 0.500 0.623
Nd4 0.591 0.999 0.501
Mg1 0.646 0.492 0.367
Ta1 0.104 0.253 0.413
Ta2 0.497 0.257 0.911
Ta3 0.592 0.769 0.188
Ta4 0.992 0.760 0.693
Ti1 0.000 0.244 0.696
Ti2 0.103 0.746 0.417
Ti3 0.497 0.747 0.911
Ti4 0.589 0.239 0.183
O1 0.012 0.003 0.411
O2 0.072 0.502 0.694
O3 0.163 0.192 0.838
O4 0.164 0.810 0.838
O5 0.270 0.213 0.577
O6 0.270 0.500 0.433
O7 0.274 0.790 0.579
O8 0.303 0.791 0.079
O9 0.305 0.214 0.075
O10 0.383 0.502 0.932
O11 0.426 0.197 0.335
O12 0.428 0.806 0.338
O13 0.496 0.503 0.198
O14 0.584 0.002 0.914
O15 0.663 0.701 0.768
O16 0.668 0.302 0.766
O17 0.723 0.005 0.173
O18 0.777 0.714 0.031
O19 0.780 0.290 0.027
O20 0.793 0.312 0.510
O21 0.799 0.700 0.523
O22 0.877 0.003 0.664
O23 0.903 0.681 0.276
O24 0.909 0.325 0.273